Starting from a structure optimized by DFT (GGA+U), the powder diffraction line list of MnO was calculated for CuKα.
Kinematic intensities with the Lorentz-polarization factor, no thermal factor.

Structure:
Lattice parameters (Å, degrees): 3.4892 3.4892 5.4270 90.00 90.00 120.00
Element x y z (fractional)
Mn1 0.3333 0.6667 0.0000
Mn2 0.6667 0.3333 0.5000
O1 0.3333 0.6667 0.6096
O2 0.6667 0.3333 0.1096

Peak list (10 most intense, 2θ = 10–90°, sorted by position)
(hkl)  two_theta  I (rel.)
1 0 0  29.6  67
0 0 2  33.0  46
1 0 1  34.0  100
1 0 2  44.9  27
1 1 0  52.4  45
1 0 3  59.6  36
1 1 2  63.4  34
2 0 1  64.0  15
2 0 3  83.3  12
2 1 1  87.2  12